This entry pairs a crystal structure of La2H5 with its computed powder XRD pattern. Radiation: copper Kα. Structure: a GGA-PBE-relaxed structure.
Peak positions follow from Bragg's law for the DFT cell and can differ from measured ones.

Largest 12 diffraction maxima, by angle, 10° ≤ 2θ ≤ 90°:
d (Å)  2theta  intensity  (hkl)
3.236  27.57  1000  1 1 2
2.835  31.55  170  0 0 4
2.786  32.13  330  2 0 0
1.987  45.65  263  2 0 4
1.970  46.08  130  2 2 0
1.704  53.79  152  1 1 6
1.683  54.54  300  3 1 2
1.618  56.92  129  2 2 4
1.289  73.47  119  3 1 6
1.279  74.11  60  3 3 2
1.246  76.45  55  4 2 0
1.141  85.04  85  4 2 4

Cell and atoms:
Cell: 5.572 5.572 11.341 Å, 90.00 90.00 90.00°
Space group I4_1/amd (No. 141, origin choice 2)
Unique sites:
La: 0.000 0.250 0.120 x8
H: 0.000 0.250 0.875 x4
H: 0.231 0.000 0.500 x16